The following is a theoretical powder X-ray diffraction pattern of La3MoN5. It was derived from a cell relaxed with GGA-PBE, using a wavelength of 1.5418 Å.
Peak positions follow from Bragg's law for the DFT cell and can differ from measured ones.

Main lines, by angle (2θ from 15° to 90°):
| two_theta | I/Imax |
| --- | --- |
| 29.93 | 40 |
| 30.04 | 100 |
| 30.46 | 38 |
| 36.83 | 25 |
| 37.10 | 43 |
| 48.52 | 21 |
| 48.73 | 13 |
| 53.87 | 21 |
| 55.47 | 22 |
| 60.11 | 13 |

Structure:
```
data_La3MoN5
_symmetry_space_group_name_H-M 'I 4/m c m'
_symmetry_Int_Tables_number 140
_symmetry_space_group_name_Hall '-I 4 2c'
_cell_length_a 6.9027
_cell_length_b 6.9027
_cell_length_c 11.7386
_cell_angle_alpha 90.00
_cell_angle_beta 90.00
_cell_angle_gamma 90.00
loop_
_atom_site_label
_atom_site_fract_x
_atom_site_fract_y
_atom_site_fract_z
La1 0.0000 0.0000 0.2500
La2 0.1770 0.3230 0.0000
Mo1 0.0000 0.5000 0.2500
N1 0.0000 0.0000 0.0000
N2 0.1512 0.3488 0.3469
```